(1)
Calculated X-ray powder pattern of Pr2Co12As7 for Cu Kα, from a structure optimized by DFT (GGA-PBE).
Kinematic intensities with the Lorentz-polarization factor, no thermal factor.

Most intense lines, 2θ from 10° to 90°, in order of rising 2θ:
hkl 2 0 1, 2θ = 32.19°, intensity 14; hkl 3 0 0, 2θ = 32.93°, intensity 15; hkl 2 1 1, 2θ = 37.56°, intensity 100; hkl 3 0 1, 2θ = 40.80°, intensity 11; hkl 4 0 0, 2θ = 44.41°, intensity 11; hkl 1 3 1, 2θ = 46.72°, intensity 20; hkl 0 0 2, 2θ = 47.86°, intensity 26; hkl 1 4 0, 2θ = 51.32°, intensity 24; hkl 3 2 1, 2θ = 54.66°, intensity 19; hkl 1 4 2, 2θ = 72.78°, intensity 16

Structure:
Unit cell a=9.4209 b=9.4209 c=3.8015 alpha=90.00 beta=90.00 gamma=120.00
Space group P-6 (No. 174)
Asymmetric unit:
Pr 0.0000 0.0000 0.0000 (multiplicity 1)
Pr 0.3333 0.6667 0.5000 (multiplicity 1)
Co 0.0440 0.2829 0.5000 (multiplicity 3)
Co 0.0993 0.7090 0.0000 (multiplicity 3)
Co 0.3918 0.1826 0.0000 (multiplicity 3)
Co 0.5464 0.4332 0.5000 (multiplicity 3)
As 0.0693 0.4436 0.0000 (multiplicity 3)
As 0.2662 0.2272 0.5000 (multiplicity 3)
As 0.6667 0.3333 0.0000 (multiplicity 1)


(2)
Calculated X-ray powder pattern of MgSnAu4 for Cu Kα, from a structure optimized by DFT (GGA-PBE).
Kinematic intensities with the Lorentz-polarization factor, no thermal factor.

Most intense lines, 2θ from 10° to 90°, in order of rising 2θ:
hkl 2 0 -2, 2θ = 28.80°, intensity 53; hkl 0 2 1, 2θ = 29.74°, intensity 32; hkl 0 0 2, 2θ = 29.90°, intensity 20; hkl 2 2 0, 2θ = 30.27°, intensity 50; hkl 4 0 -2, 2θ = 35.94°, intensity 33; hkl 2 2 1, 2θ = 36.23°, intensity 38; hkl 0 2 2, 2θ = 39.77°, intensity 100; hkl 4 0 1, 2θ = 39.86°, intensity 58; hkl 4 2 -1, 2θ = 40.19°, intensity 85; hkl 2 0 3, 2θ = 53.69°, intensity 26

Structure:
Unit cell a=11.872 b=6.950 c=6.339 alpha=90.00 beta=109.45 gamma=90.00
Space group C2/m (No. 12)
Asymmetric unit:
Mg 0.026 0.000 0.242 (multiplicity 4)
Sn 0.214 0.500 0.692 (multiplicity 4)
Au 0.000 0.294 0.500 (multiplicity 4)
Au 0.122 0.285 0.014 (multiplicity 8)
Au 0.192 0.000 0.670 (multiplicity 4)